Computed PXRD pattern
Compound: Cr2Se
Radiation: Cu Kα
Structure: a DFT-relaxed cell (GGA-PBE, Alexandria)

Cell and atoms:
Unit cell a=9.1425 b=9.1425 c=3.8155 alpha=90.00 beta=90.00 gamma=160.62
Positions (direct):
Cr 0.0511 0.9489 0.7500
Cr 0.4391 0.5609 0.7500
Cr 0.5609 0.4391 0.2500
Cr 0.9489 0.0511 0.2500
Se 0.3450 0.6550 0.2500
Se 0.6550 0.3450 0.7500

Peak list (10 most intense, 2θ from 5° to 70°, most intense first)
- 9.81 deg, intensity 100
- 45.47 deg, intensity 97
- 25.35 deg, intensity 35
- 32.70 deg, intensity 28
- 40.55 deg, intensity 23
- 47.67 deg, intensity 22
- 50.65 deg, intensity 15
- 46.83 deg, intensity 15
- 30.70 deg, intensity 14
- 60.17 deg, intensity 14

=====

Computed PXRD pattern
Compound: SrMgSbI
Radiation: Cu Kα
Structure: a DFT-relaxed cell (GGA-PBE, Alexandria)

Cell and atoms:
Unit cell a=15.8135 b=15.8135 c=15.8135 alpha=17.35 beta=17.35 gamma=17.35
Positions (direct):
Sr 0.0847 0.0847 0.0847
Sr 0.9153 0.9153 0.9153
Mg 0.3118 0.3118 0.3118
Mg 0.6882 0.6882 0.6882
Sb 0.3744 0.3744 0.3744
Sb 0.6256 0.6256 0.6256
I 0.2098 0.2098 0.2098
I 0.7902 0.7902 0.7902

Peak list (10 most intense, 2θ from 5° to 70°, most intense first)
- 25.36 deg, intensity 100
- 37.72 deg, intensity 61
- 39.38 deg, intensity 34
- 22.84 deg, intensity 32
- 28.85 deg, intensity 27
- 44.55 deg, intensity 21
- 61.49 deg, intensity 20
- 46.00 deg, intensity 20
- 33.04 deg, intensity 17
- 60.94 deg, intensity 17

=====

- Which formula does entry 1 have?
  Cr2Se